Record 1
The following is a computed XRD peak list of Tb3Sm2. It was derived from a structure optimized by DFT (PBE), using a wavelength of 1.5418 Å.

Structure:
Cell lengths 6.2104, 6.2104, 8.0213 Å; angles 130.17, 130.17, 48.22 degrees
Sites, in units of the cell vectors:
Tb (0.0000, 0.0000, 0.0000)
Tb (0.1998, 0.1998, 0.5990)
Tb (0.8002, 0.8002, 0.4010)
Sm (0.4002, 0.4002, 0.1997)
Sm (0.5998, 0.5998, 0.8003)

Largest 9 diffraction maxima, low angle first, 2θ = 10–90°:
| 2theta | I/Imax |
| --- | --- |
| 30.5 | 100.0 |
| 35.4 | 50.6 |
| 50.9 | 36.1 |
| 60.5 | 43.0 |
| 63.5 | 12.4 |
| 74.9 | 5.7 |
| 83.0 | 17.7 |
| 85.6 | 15.2 |
| 85.7 | 1.4 |



Record 2
The following is a computed XRD peak list of Tb2Sm5. It was derived from a structure optimized by DFT (PBE), using a wavelength of 1.5418 Å.

Structure:
Cell lengths 8.4221, 8.4221, 11.3693 Å; angles 131.72, 131.72, 24.20 degrees
Sites, in units of the cell vectors:
Tb (0.1359, 0.1359, 0.4101)
Tb (0.8641, 0.8641, 0.5899)
Sm (0.1328, 0.1328, 0.8610)
Sm (0.3391, 0.3391, 0.8362)
Sm (0.5000, 0.5000, 0.5000)
Sm (0.6609, 0.6609, 0.1638)
Sm (0.8672, 0.8672, 0.1390)

Largest 10 diffraction maxima, low angle first, 2θ = 10–90°:
| 2theta | I/Imax |
| --- | --- |
| 29.6 | 42.6 |
| 30.7 | 89.8 |
| 30.8 | 100.0 |
| 31.5 | 84.1 |
| 32.2 | 38.2 |
| 32.7 | 34.6 |
| 33.8 | 40.8 |
| 37.3 | 46.6 |
| 37.5 | 44.4 |
| 61.9 | 54.9 |